(1)
For Pm3Sm7Sc, the GGA-PBE geometry in Alexandria gives the simulated X-ray powder pattern in this record (Cu Kα (weighted mean of Kα1 and Kα2)).
No peak broadening, texture or thermal motion is included.

Structure:
```
data_Pm3Sm7Sc
_chemical_formula_sum 'Pm12 Sm28 Sc4'
_space_group_name_H-M_alt 'C 1 2/c 1'
_space_group_IT_number 15
_cell_length_a 19.2270
_cell_length_b 7.1110
_cell_length_c 12.6355
_cell_angle_alpha 90.00
_cell_angle_beta 117.09
_cell_angle_gamma 90.00
loop_
_space_group_symop_operation_xyz
'x,y,z'
'-x,-y,-z'
'-x,y,-z+1/2'
'x,-y,z+1/2'
'x+1/2,y+1/2,z'
'-x+1/2,-y+1/2,-z'
'-x+1/2,y+1/2,-z+1/2'
'x+1/2,-y+1/2,z+1/2'
loop_
_atom_site_label
_atom_site_fract_x
_atom_site_fract_y
_atom_site_fract_z
Pm1 0.0000 0.0000 0.0000
Pm2 0.1709 0.4955 0.2705
Sm1 0.0000 0.3107 0.7500
Sm2 0.1590 0.0029 0.7751
Sm3 0.1637 0.2594 0.5224
Sm4 0.1672 0.2506 0.0272
Sc1 0.0000 0.5000 0.0000
```

Largest 6 diffraction maxima, sorted by position, 2θ from 10° to 90°:
(hkl), 2theta, I/Imax
4 0 -4, 28.99, 53
0 2 2, 29.72, 64
6 0 0, 31.36, 86
0 0 4, 31.82, 62
4 2 -2, 31.95, 100
2 2 2, 33.93, 80


(2)
For Pm5Sm2Sc, the GGA-PBE geometry in Alexandria gives the simulated X-ray powder pattern in this record (Cu Kα (weighted mean of Kα1 and Kα2)).
No peak broadening, texture or thermal motion is included.

Structure:
```
data_Pm5Sm2Sc
_chemical_formula_sum 'Pm10 Sm4 Sc2'
_space_group_name_H-M_alt 'C m m m'
_space_group_IT_number 65
_space_group_name_Hall '-C 2 2'
_cell_length_a 10.1295
_cell_length_b 14.4342
_cell_length_c 3.6011
_cell_angle_alpha 90.00
_cell_angle_beta 90.00
_cell_angle_gamma 90.00
loop_
_atom_site_label
_atom_site_fract_x
_atom_site_fract_y
_atom_site_fract_z
Pm1 0.0000 0.0000 0.0000
Pm2 0.2423 0.3778 0.5000
Sm1 0.0000 0.2495 0.0000
Sc1 0.0000 0.5000 0.0000
```

Largest 6 diffraction maxima, sorted by position, 2θ from 10° to 90°:
(hkl), 2theta, I/Imax
2 0 1, 30.44, 100
0 4 1, 35.21, 34
4 0 0, 35.45, 16
4 4 1, 50.82, 23
2 4 2, 60.24, 28
6 0 1, 60.56, 13


(3)
For Pm5Sm3Sc, the GGA-PBE geometry in Alexandria gives the simulated X-ray powder pattern in this record (Cu Kα (weighted mean of Kα1 and Kα2)).
No peak broadening, texture or thermal motion is included.

Structure:
```
data_Pm5Sm3Sc
_chemical_formula_sum 'Pm20 Sm12 Sc4'
_space_group_name_H-M_alt 'C 1 2/m 1'
_space_group_IT_number 12
_cell_length_a 11.4125
_cell_length_b 11.4944
_cell_length_c 11.4725
_cell_angle_alpha 90.00
_cell_angle_beta 115.84
_cell_angle_gamma 90.00
loop_
_space_group_symop_operation_xyz
'x,y,z'
'-x,-y,-z'
'-x,y,-z'
'x,-y,z'
'x+1/2,y+1/2,z'
'-x+1/2,-y+1/2,-z'
'-x+1/2,y+1/2,-z'
'x+1/2,-y+1/2,z'
loop_
_atom_site_label
_atom_site_fract_x
_atom_site_fract_y
_atom_site_fract_z
Pm1 0.0000 0.2465 0.0000
Pm2 0.0410 0.0000 0.3854
Pm3 0.1860 0.2650 0.6472
Pm4 0.1948 0.0000 0.9075
Sm1 0.0000 0.5000 0.0000
Sm2 0.0000 0.5000 0.5000
Sm3 0.1214 0.0000 0.1570
Sm4 0.1992 0.5000 0.3373
Sc1 0.0949 0.5000 0.7970
```

Largest 6 diffraction maxima, sorted by position, 2θ from 10° to 90°:
(hkl), 2theta, I/Imax
0 2 0, 15.42, 47
2 0 -2, 18.30, 49
2 2 1, 27.35, 96
0 4 0, 31.12, 100
3 1 1, 31.88, 50
1 1 -4, 32.81, 55


(4)
For Pm4Sm3Sc4, the GGA-PBE geometry in Alexandria gives the simulated X-ray powder pattern in this record (Cu Kα (weighted mean of Kα1 and Kα2)).
No peak broadening, texture or thermal motion is included.

Structure:
```
data_Pm4Sm3Sc4
_chemical_formula_sum 'Pm8 Sm6 Sc8'
_space_group_name_H-M_alt 'A m m 2'
_space_group_IT_number 38
_cell_length_a 11.3562
_cell_length_b 5.5626
_cell_length_c 10.7979
_cell_angle_alpha 90.00
_cell_angle_beta 90.00
_cell_angle_gamma 90.00
loop_
_space_group_symop_operation_xyz
'x,y,z'
'-x,-y,z'
'-x,y,z'
'x,-y,z'
'x,y+1/2,z+1/2'
'-x,-y+1/2,z+1/2'
'-x,y+1/2,z+1/2'
'x,-y+1/2,z+1/2'
loop_
_atom_site_label
_atom_site_fract_x
_atom_site_fract_y
_atom_site_fract_z
Pm1 0.0000 0.0000 0.0000
Pm2 0.2227 0.0000 0.7923
Pm3 0.5000 0.0000 0.0369
Sm1 0.0000 0.0000 0.3070
Sm2 0.3224 0.0000 0.4485
Sc1 0.0000 0.0000 0.6138
Sc2 0.2480 0.0000 0.1337
Sc3 0.5000 0.0000 0.7117
```

Largest 6 diffraction maxima, sorted by position, 2θ from 10° to 90°:
(hkl), 2theta, I/Imax
2 1 1, 23.86, 32
0 1 3, 29.56, 24
3 1 1, 29.72, 47
4 0 0, 31.51, 22
0 2 0, 32.18, 51
2 1 3, 33.60, 100


(5)
For Pm4Sm3Sc, the GGA-PBE geometry in Alexandria gives the simulated X-ray powder pattern in this record (Cu Kα (weighted mean of Kα1 and Kα2)).
No peak broadening, texture or thermal motion is included.

Structure:
```
data_Pm4Sm3Sc
_chemical_formula_sum 'Pm8 Sm6 Sc2'
_space_group_name_H-M_alt 'P m n 21'
_space_group_IT_number 31
_cell_length_a 11.5656
_cell_length_b 7.2932
_cell_length_c 6.2940
_cell_angle_alpha 90.00
_cell_angle_beta 90.00
_cell_angle_gamma 90.00
loop_
_space_group_symop_operation_xyz
'x,y,z'
'-x+1/2,-y,z+1/2'
'-x,y,z'
'x+1/2,-y,z+1/2'
loop_
_atom_site_label
_atom_site_fract_x
_atom_site_fract_y
_atom_site_fract_z
Pm1 0.0000 0.1278 0.0000
Pm2 0.0000 0.8720 0.4870
Pm3 0.2430 0.8709 0.8318
Sm1 0.0000 0.3765 0.4938
Sm2 0.2491 0.3791 0.8240
Sc1 0.0000 0.6211 0.9916
```

Largest 6 diffraction maxima, sorted by position, 2θ from 10° to 90°:
(hkl), 2theta, I/Imax
0 0 2, 28.31, 24
4 0 0, 30.93, 25
2 2 1, 32.34, 100
4 0 2, 42.42, 16
6 2 1, 55.91, 21
4 2 3, 60.11, 15


(6)
For Pm8SmSc4, the GGA-PBE geometry in Alexandria gives the simulated X-ray powder pattern in this record (Cu Kα (weighted mean of Kα1 and Kα2)).
No peak broadening, texture or thermal motion is included.

Structure:
```
data_Pm8SmSc4
_chemical_formula_sum 'Pm24 Sm3 Sc12'
_space_group_name_H-M_alt 'R -3 m'
_space_group_IT_number 166
_space_group_name_Hall '-R 3 2"'
_cell_length_a 7.0766
_cell_length_b 7.0766
_cell_length_c 28.3579
_cell_angle_alpha 90.00
_cell_angle_beta 90.00
_cell_angle_gamma 120.00
loop_
_atom_site_label
_atom_site_fract_x
_atom_site_fract_y
_atom_site_fract_z
Pm1 0.0000 0.0000 0.2132
Pm2 0.0263 0.5131 0.7599
Sm1 0.0000 0.0000 0.5000
Sc1 0.0000 0.0000 0.0000
Sc2 0.0000 0.5000 0.0000
```

Largest 6 diffraction maxima, sorted by position, 2θ from 10° to 90°:
(hkl), 2theta, I/Imax
0 0 6, 18.78, 20
2 0 2, 29.83, 41
0 2 4, 31.81, 100
1 0 10, 34.86, 18
2 0 8, 38.85, 32
2 2 0, 51.67, 29


(7)
For Pm2Sm3Sc, the GGA-PBE geometry in Alexandria gives the simulated X-ray powder pattern in this record (Cu Kα (weighted mean of Kα1 and Kα2)).
No peak broadening, texture or thermal motion is included.

Structure:
```
data_Pm2Sm3Sc
_chemical_formula_sum 'Pm4 Sm6 Sc2'
_space_group_name_H-M_alt 'P -1'
_space_group_IT_number 2
_cell_length_a 6.1852
_cell_length_b 7.9884
_cell_length_c 8.7585
_cell_angle_alpha 111.40
_cell_angle_beta 90.22
_cell_angle_gamma 104.79
loop_
_space_group_symop_operation_xyz
'x,y,z'
'-x,-y,-z'
loop_
_atom_site_label
_atom_site_fract_x
_atom_site_fract_y
_atom_site_fract_z
Pm1 0.0490 0.3813 0.2965
Pm2 0.2958 0.6228 0.0404
Sm1 0.1255 0.1248 0.8722
Sm2 0.2084 0.8765 0.4581
Sm3 0.4603 0.1349 0.2149
Sc1 0.3762 0.3754 0.6215
```

Largest 6 diffraction maxima, sorted by position, 2θ from 10° to 90°:
(hkl), 2theta, I/Imax
1 2 -1, 30.62, 100
2 -1 1, 30.70, 33
2 0 -2, 35.52, 67
1 3 -4, 51.08, 32
3 2 -3, 60.70, 19
1 -4 5, 60.80, 28


(8)
For Pm4Sm4Sc3, the GGA-PBE geometry in Alexandria gives the simulated X-ray powder pattern in this record (Cu Kα (weighted mean of Kα1 and Kα2)).
No peak broadening, texture or thermal motion is included.

Structure:
```
data_Pm4Sm4Sc3
_chemical_formula_sum 'Pm8 Sm8 Sc6'
_space_group_name_H-M_alt 'C 1 2/m 1'
_space_group_IT_number 12
_cell_length_a 35.7151
_cell_length_b 3.4516
_cell_length_c 5.6220
_cell_angle_alpha 90.00
_cell_angle_beta 99.00
_cell_angle_gamma 90.00
loop_
_space_group_symop_operation_xyz
'x,y,z'
'-x,-y,-z'
'-x,y,-z'
'x,-y,z'
'x+1/2,y+1/2,z'
'-x+1/2,-y+1/2,-z'
'-x+1/2,y+1/2,-z'
'x+1/2,-y+1/2,z'
loop_
_atom_site_label
_atom_site_fract_x
_atom_site_fract_y
_atom_site_fract_z
Pm1 0.0896 0.0000 0.0905
Pm2 0.2298 0.0000 0.7298
Sm1 0.0459 0.0000 0.5473
Sm2 0.1791 0.0000 0.1794
Sc1 0.0000 0.5000 0.0000
Sc2 0.1343 0.5000 0.6349
```

Largest 6 diffraction maxima, sorted by position, 2θ from 10° to 90°:
(hkl), 2theta, I/Imax
1 1 0, 25.94, 21
7 1 0, 31.41, 18
2 0 -2, 31.83, 31
10 0 1, 32.11, 100
8 0 3, 56.90, 19
10 2 1, 63.40, 17